Structure and calculated X-ray powder pattern of RbZn2P2HO8 (the PBE geometry in the Materials Project; Cu Ka).
Kinematic intensities with the Lorentz-polarization factor, no thermal factor.

a = 5.329 Å, b = 8.982 Å, c = 9.888 Å
α = 75.28°, β = 77.57°, γ = 73.56°
Space group P-1 (No. 2)
One atom of each set of equivalent atoms:
Rb 0.209 0.205 0.323
Zn 0.111 0.117 0.773
Zn 0.309 0.388 0.889
P 0.169 0.744 0.950
P 0.395 0.746 0.387
H 0.440 0.575 0.598
O 0.030 0.266 0.904
O 0.074 0.903 0.850
O 0.095 0.799 0.385
O 0.144 0.611 0.884
O 0.433 0.691 0.550
O 0.452 0.725 0.976
O 0.468 0.398 0.684
O 0.475 0.114 0.675

Peak list (10 most intense, 5° ≤ 2θ ≤ 70°, most intense first)
27.8°, d 3.211, I = 100, (1 0 -2); 21.1°, d 4.215, I = 73, (0 2 0); 22.6°, d 3.932, I = 69, (1 -1 0); 23.0°, d 3.859, I = 66, (1 2 1); 33.7°, d 2.660, I = 61, (2 1 1); 31.8°, d 2.818, I = 54, (0 2 3); 29.2°, d 3.059, I = 45, (1 -1 2); 23.7°, d 3.751, I = 41, (1 0 2); 31.3°, d 2.859, I = 38, (0 3 1); 15.5°, d 5.730, I = 35, (0 1 -1)

=====

Structure and calculated X-ray powder pattern of Nd7Co3 (the PBE geometry in the Materials Project; Cu Ka).
Kinematic intensities with the Lorentz-polarization factor, no thermal factor.

a = 9.8219 Å, b = 9.8219 Å, c = 6.3134 Å
α = 90.00°, β = 90.00°, γ = 120.00°
Space group P6_3mc (No. 186)
One atom of each set of equivalent atoms:
Nd 0.0790 0.5395 0.0000
Nd 0.1258 0.2516 0.6870
Nd 0.3333 0.6667 0.4575
Co 0.1872 0.3745 0.2395

Peak list (10 most intense, 5° ≤ 2θ ≤ 70°, most intense first)
31.2°, d 2.865, I = 100, (2 1 1); 30.2°, d 2.959, I = 46, (1 0 2); 34.7°, d 2.586, I = 40, (3 0 1); 35.4°, d 2.535, I = 40, (2 0 2); 36.6°, d 2.455, I = 32, (2 2 0); 54.3°, d 1.690, I = 27, (3 0 3); 55.3°, d 1.660, I = 26, (3 2 2); 56.0°, d 1.643, I = 23, (5 0 1); 27.7°, d 3.215, I = 20, (2 1 0); 56.2°, d 1.637, I = 16, (3 3 0)

=====

Structure and calculated X-ray powder pattern of MgMo2WSe2S4 (the PBE geometry in the Materials Project; Cu Ka).
Kinematic intensities with the Lorentz-polarization factor, no thermal factor.

a = 3.231 Å, b = 3.231 Å, c = 29.689 Å
α = 90.00°, β = 90.00°, γ = 120.00°
Space group P1 (No. 1)
One atom of each set of equivalent atoms:
Mg 0.000 0.000 0.000
Mo 0.005 0.921 0.265
Mo 0.005 0.921 0.728
W 0.338 0.588 0.496
Se 0.005 0.921 0.439
Se 0.005 0.921 0.554
S 0.338 0.588 0.213
S 0.338 0.588 0.317
S 0.338 0.588 0.676
S 0.338 0.588 0.780

Peak list (10 most intense, 5° ≤ 2θ ≤ 70°, most intense first)
11.9°, d 7.422, I = 100, (0 0 4); 38.5°, d 2.336, I = 40, (0 1 7); 36.9°, d 2.436, I = 30, (-1 1 6); 46.8°, d 1.943, I = 29, (0 1 11); 32.0°, d 2.799, I = 19, (1 -1 0); 44.5°, d 2.036, I = 16, (-1 1 10); 57.0°, d 1.616, I = 16, (1 1 0); 8.9°, d 9.896, I = 16, (0 0 3); 14.9°, d 5.938, I = 15, (0 0 5); 34.2°, d 2.619, I = 12, (-1 1 4)

=====

- What is the formula in the first record?
  RbZn2P2HO8